1.
Starting from the GGA-PBE geometry in Alexandria, the powder XRD pattern of Hg2PbAu was computed for CuKα.
No peak broadening, texture or thermal motion is included.

Cell and atoms:
abc: 3.912 9.045 5.944
angles: 90.00 108.78 90.00
Space group P2_1/m (No. 11)
Unique sites:
Hg: 0.122 0.035 0.266
Pb: 0.426 0.250 0.867
Au: 0.296 0.750 0.561

Most intense lines, 2θ from 10° to 80°, by angle:
d_spacing	I_rel	h k l
2.862	100	1 2 0
2.603	30	1 1 1
2.585	30	1 1 -2
2.389	32	0 2 2
2.261	26	0 4 0
1.956	28	2 0 -1



2.
Starting from the GGA-PBE geometry in Alexandria, the powder XRD pattern of Hg2Pb5Au2 was computed for CuKα.
No peak broadening, texture or thermal motion is included.

Cell and atoms:
abc: 5.843 9.349 9.472
angles: 72.42 89.22 89.05
Space group P1 (No. 1)
Unique sites:
Hg: 0.000 0.000 0.000
Hg: 0.027 0.934 0.671
Hg: 0.497 0.521 0.479
Hg: 0.531 0.195 0.410
Pb: 0.015 0.704 0.390
Pb: 0.030 0.307 0.589
Pb: 0.045 0.099 0.328
Pb: 0.310 0.518 0.800
Pb: 0.326 0.500 0.167
Pb: 0.515 0.903 0.182
Pb: 0.529 0.118 0.787
Pb: 0.541 0.848 0.580
Pb: 0.812 0.319 0.006
Pb: 0.825 0.692 0.968
Au: 0.330 0.221 0.043
Au: 0.347 0.801 0.918
Au: 0.826 0.553 0.703
Au: 0.847 0.449 0.275

Most intense lines, 2θ from 10° to 80°, by angle:
d_spacing	I_rel	h k l
2.920	82	0 3 2
2.789	95	1 1 3
2.776	100	0 2 -2
2.764	99	2 -1 0
2.664	82	1 0 -3
2.335	63	2 2 2



3.
Starting from the GGA-PBE geometry in Alexandria, the powder XRD pattern of Hg12PbAu7 was computed for CuKα.
No peak broadening, texture or thermal motion is included.

Cell and atoms:
abc: 6.821 9.195 9.277
angles: 104.75 104.55 108.71
Space group P-1 (No. 2)
Unique sites:
Hg: 0.015 0.372 0.182
Hg: 0.073 0.889 0.249
Hg: 0.229 0.399 0.721
Hg: 0.264 0.855 0.594
Hg: 0.268 0.993 0.922
Hg: 0.327 0.697 0.135
Pb: 0.500 0.500 0.500
Au: 0.000 0.500 0.500
Au: 0.320 0.193 0.230
Au: 0.350 0.360 0.023
Au: 0.383 0.165 0.538

Most intense lines, 2θ from 10° to 80°, by angle:
d_spacing	I_rel	h k l
3.003	68	-2 2 1
2.975	85	-2 1 2
2.965	81	1 0 2
2.823	80	2 -2 1
2.455	99	1 -1 3
2.216	100	1 -4 2



4.
Starting from the GGA-PBE geometry in Alexandria, the powder XRD pattern of Hg2Pb3Au2 was computed for CuKα.
No peak broadening, texture or thermal motion is included.

Cell and atoms:
abc: 3.808 5.994 8.914
angles: 71.55 80.07 76.10
Space group P-1 (No. 2)
Unique sites:
Hg: 0.245 0.195 0.384
Pb: 0.286 0.305 0.706
Pb: 0.500 0.500 0.000
Au: 0.139 0.070 0.109

Most intense lines, 2θ from 10° to 80°, by angle:
d_spacing	I_rel	h k l
2.887	85	1 1 -1
2.856	69	0 1 3
2.822	100	1 -1 0
2.517	46	1 2 2
2.443	66	0 2 -1
2.350	63	1 0 3



5.
Starting from the GGA-PBE geometry in Alexandria, the powder XRD pattern of Hg12Pb16Au was computed for CuKα.
No peak broadening, texture or thermal motion is included.

Cell and atoms:
abc: 11.821 16.286 10.420
angles: 90.00 124.55 90.00
Space group Cm (No. 8)
Unique sites:
Hg: 0.000 0.000 0.000
Hg: 0.053 0.317 0.351
Hg: 0.098 0.096 0.819
Hg: 0.140 0.406 0.149
Hg: 0.158 0.000 0.357
Hg: 0.366 0.192 0.974
Hg: 0.456 0.093 0.530
Pb: 0.062 0.291 0.842
Pb: 0.169 0.500 0.878
Pb: 0.209 0.175 0.184
Pb: 0.213 0.159 0.564
Pb: 0.243 0.500 0.483
Pb: 0.296 0.354 0.749
Pb: 0.356 0.000 0.823
Pb: 0.371 0.000 0.168
Pb: 0.391 0.319 0.478
Pb: 0.411 0.358 0.163
Au: 0.021 0.000 0.525

Most intense lines, 2θ from 10° to 80°, by angle:
d_spacing	I_rel	h k l
2.818	66	1 3 -3
2.794	33	4 0 -1
2.783	100	3 3 0
2.753	78	1 5 -2
2.575	25	2 0 -4
2.484	28	3 5 -1



6.
Starting from the GGA-PBE geometry in Alexandria, the powder XRD pattern of Hg2Pb3Au3 was computed for CuKα.
No peak broadening, texture or thermal motion is included.

Cell and atoms:
abc: 3.899 13.803 14.997
angles: 90.00 90.00 90.00
Space group Cmcm (No. 63)
Unique sites:
Hg: 0.000 0.241 0.081
Pb: 0.000 0.053 0.627
Pb: 0.000 0.353 0.750
Au: 0.000 0.334 0.250
Au: 0.000 0.409 0.546

Most intense lines, 2θ from 10° to 80°, by angle:
d_spacing	I_rel	h k l
2.975	36	1 3 0
2.918	74	1 3 1
2.652	85	1 1 4
2.556	100	1 3 3
2.199	34	0 6 2
1.950	40	2 0 0



7.
Starting from the GGA-PBE geometry in Alexandria, the powder XRD pattern of HgPb2Au3 was computed for CuKα.
No peak broadening, texture or thermal motion is included.

Cell and atoms:
abc: 4.079 4.351 8.495
angles: 104.40 103.74 90.30
Space group P-1 (No. 2)
Unique sites:
Hg: 0.000 0.000 0.000
Pb: 0.322 0.820 0.645
Au: 0.133 0.635 0.266
Au: 0.500 0.500 0.000

Most intense lines, 2θ from 10° to 80°, by angle:
d_spacing	I_rel	h k l
2.795	93	-1 1 1
2.658	68	0 0 3
2.390	100	-1 1 2
2.385	51	1 -1 2
2.176	71	0 2 -1
2.039	59	2 0 -1



8.
Starting from the GGA-PBE geometry in Alexandria, the powder XRD pattern of Hg2PbAu2 was computed for CuKα.
No peak broadening, texture or thermal motion is included.

Cell and atoms:
abc: 12.988 6.238 7.927
angles: 90.00 126.92 90.00
Space group C2/c (No. 15)
Unique sites:
Hg: 0.225 0.041 0.350
Pb: 0.000 0.382 0.750
Au: 0.048 0.189 0.465

Most intense lines, 2θ from 10° to 80°, by angle:
d_spacing	I_rel	h k l
3.175	100	3 1 -2
2.796	59	0 2 1
2.674	60	2 2 0
2.433	51	3 1 -3
2.418	63	1 1 2
2.220	52	4 2 -1



9.
Starting from the GGA-PBE geometry in Alexandria, the powder XRD pattern of RbHg2Pb2Au2 was computed for CuKα.
No peak broadening, texture or thermal motion is included.

Cell and atoms:
abc: 4.8082 4.8082 32.0007
angles: 90.00 90.00 120.00
Space group R-3m (No. 166, hexagonal axes)
Unique sites:
Rb: 0.0000 0.0000 0.0000
Hg: 0.0000 0.0000 0.2603
Pb: 0.0000 0.0000 0.1372
Au: 0.0000 0.0000 0.4328

Most intense lines, 2θ from 10° to 80°, by angle:
d_spacing	I_rel	h k l
5.333	20	0 0 6
3.078	100	1 0 7
2.537	27	1 0 10
2.404	79	1 1 0
1.895	26	0 2 7
1.488	24	2 1 7



10.
Starting from the GGA-PBE geometry in Alexandria, the powder XRD pattern of Sr3Hg4Pb2Au2 was computed for CuKα.
No peak broadening, texture or thermal motion is included.

Cell and atoms:
abc: 4.9322 4.9322 15.9331
angles: 90.00 90.00 120.00
Space group P-3m1 (No. 164)
Unique sites:
Sr: 0.0000 0.0000 0.0000
Sr: 0.0000 0.0000 0.2460
Hg: 0.3333 0.6667 0.3492
Hg: 0.3333 0.6667 0.8796
Pb: 0.3333 0.6667 0.5541
Au: 0.3333 0.6667 0.1287

Most intense lines, 2θ from 10° to 80°, by angle:
d_spacing	I_rel	h k l
4.271	32	1 0 0
2.913	75	0 1 4
2.554	45	1 0 5
2.466	100	1 1 0
2.097	21	1 1 4
1.882	22	2 0 4



11.
Starting from the GGA-PBE geometry in Alexandria, the powder XRD pattern of Tl4HgPbAu was computed for CuKα.
No peak broadening, texture or thermal motion is included.

Cell and atoms:
abc: 18.588 6.447 7.293
angles: 90.00 106.88 90.00
Space group C2/m (No. 12)
Unique sites:
Tl: 0.112 0.000 0.140
Tl: 0.168 0.252 0.569
Tl: 0.233 0.500 0.008
Hg: 0.036 0.000 0.708
Pb: 0.034 0.500 0.767
Au: 0.115 0.500 0.189

Most intense lines, 2θ from 10° to 80°, by angle:
d_spacing	I_rel	h k l
3.068	100	6 0 -1
2.968	90	2 0 2
2.927	53	0 2 1
2.685	38	2 2 1
2.364	62	4 0 -3
2.183	30	6 2 0



12.
Starting from the GGA-PBE geometry in Alexandria, the powder XRD pattern of Tl3Hg4Pb3Au2 was computed for CuKα.
No peak broadening, texture or thermal motion is included.

Cell and atoms:
abc: 3.627 34.236 5.426
angles: 90.00 90.00 90.00
Space group Imm2 (No. 44)
Unique sites:
Tl: 0.000 0.000 0.000
Tl: 0.000 0.172 0.035
Hg: 0.000 0.263 0.036
Hg: 0.000 0.415 0.447
Pb: 0.000 0.087 0.441
Pb: 0.000 0.500 0.003
Au: 0.000 0.346 0.061

Most intense lines, 2θ from 10° to 80°, by angle:
d_spacing	I_rel	h k l
3.015	29	1 0 1
2.970	27	1 2 1
2.853	51	0 12 0
2.844	34	1 4 1
2.713	46	0 0 2
2.666	100	1 6 1